For Tl2Cd4Pb5, a crystal structure in Alexandria, relaxed with GGA-PBE gives the simulated powder diffraction line list in this record (Cu Kα X-rays).
No peak broadening, texture or thermal motion is included.

Most intense lines, 2θ from 10° to 90°, in order of rising 2θ:
2θ = 25.1°, intensity 28; 2θ = 29.2°, intensity 71; 2θ = 31.2°, intensity 100; 2θ = 32.0°, intensity 21; 2θ = 32.4°, intensity 33; 2θ = 36.1°, intensity 43; 2θ = 36.2°, intensity 29; 2θ = 39.9°, intensity 41; 2θ = 52.1°, intensity 18; 2θ = 65.1°, intensity 21

Crystal structure
abc: 23.2658 3.3079 8.6238
angles: 90.00 90.54 90.00
Space group C2/m (No. 12)
Asymmetric unit:
1 Tl 0.2320 0.0000 0.3332 (multiplicity 4)
2 Cd 0.0017 0.5000 0.3291 (multiplicity 4)
3 Cd 0.1058 0.0000 0.2355 (multiplicity 4)
4 Pb 0.0000 0.0000 0.0000 (multiplicity 2)
5 Pb 0.1242 0.5000 0.5757 (multiplicity 4)
6 Pb 0.1795 0.5000 0.9735 (multiplicity 4)